Entry 1:
Diffraction record for Bi14Te13S8. The powder XRD pattern is calculated, not measured: it uses a structure optimized by DFT (GGA-PBE) and Cu Kα (weighted mean of Kα1 and Kα2).

Structure:
```
data_Bi14Te13S8
_chemical_formula_sum 'Bi42 Te39 S24'
_space_group_name_H-M_alt 'R -3'
_space_group_IT_number 148
_space_group_name_Hall '-R 3'
_cell_length_a 11.3159
_cell_length_b 11.3159
_cell_length_c 31.5886
_cell_angle_alpha 90.00
_cell_angle_beta 90.00
_cell_angle_gamma 120.00
loop_
_atom_site_label
_atom_site_type_symbol
_atom_site_fract_x
_atom_site_fract_y
_atom_site_fract_z
Bi1 Bi 0.0000 0.0000 0.1091
Bi2 Bi 0.0426 0.2291 0.7781
Bi3 Bi 0.0526 0.2485 0.5595
Te1 Te 0.0000 0.0000 0.5000
Te2 Te 0.0522 0.2411 0.3860
Te3 Te 0.0615 0.2418 0.9485
S1 S 0.0000 0.0000 0.2656
S2 S 0.0421 0.2379 0.1659
```

Top 12 peaks for 2θ = 5–70°, in order of falling intensity:
2θ/deg  I_rel  h k l
27.9  100  3 -2 5
42.3  39  1 4 0
37.4  26  2 1 10
16.8  21  0 0 6
44.6  21  2 1 13
33.2  20  3 -2 8
24.2  19  2 1 1
51.4  18  4 2 5
8.4  18  0 0 3
69.3  16  1 4 18
68.7  15  0 7 5
45.8  10  5 -1 6

=====

Entry 2:
Diffraction record for Bi4Te3S3. The powder XRD pattern is calculated, not measured: it uses a structure optimized by DFT (GGA-PBE) and Cu Kα (weighted mean of Kα1 and Kα2).

Structure:
```
data_Bi4Te3S3
_chemical_formula_sum 'Bi12 Te9 S9'
_space_group_name_H-M_alt 'R 3 m'
_space_group_IT_number 160
_space_group_name_Hall 'R 3 -2"'
_cell_length_a 4.2308
_cell_length_b 4.2308
_cell_length_c 60.3597
_cell_angle_alpha 90.00
_cell_angle_beta 90.00
_cell_angle_gamma 120.00
loop_
_atom_site_label
_atom_site_type_symbol
_atom_site_fract_x
_atom_site_fract_y
_atom_site_fract_z
Bi1 Bi 0.0000 0.0000 0.0000
Bi2 Bi 0.0000 0.0000 0.1047
Bi3 Bi 0.0000 0.0000 0.4969
Bi4 Bi 0.0000 0.0000 0.6076
Te1 Te 0.0000 0.0000 0.1938
Te2 Te 0.0000 0.0000 0.4081
Te3 Te 0.0000 0.0000 0.9108
S1 S 0.0000 0.0000 0.3038
S2 S 0.0000 0.0000 0.6889
S3 S 0.0000 0.0000 0.8014
```

Top 12 peaks for 2θ = 5–70°, in order of falling intensity:
2θ/deg  I_rel  h k l
28.5  100  1 0 10
42.7  38  1 1 0
38.7  30  0 1 20
24.5  24  0 1 2
17.6  21  0 0 12
52.2  19  0 2 10
69.7  16  2 1 10
46.3  13  0 1 26
27.1  13  0 1 8
34.1  13  1 0 16
8.8  12  0 0 6
46.6  11  1 1 12